Structure and simulated powder diffraction line list of CsKCrO3 (the PBE+U geometry in Alexandria; a wavelength of 1.5418 Å).

Top 6 peaks for 10 to 90 degrees two-theta, by intensity:
Position (°2θ)	I/Imax
31.90	1000
29.20	913
28.48	674
32.08	643
39.29	447
20.67	427

Atomic structure:
```
CsKCrO3
1.0
3.184 -6.157 0.000
3.184 6.157 0.000
-0.997 0.000 5.577
Cs K Cr O
2 2 2 6
Direct
0.246 0.754 0.750
0.754 0.246 0.250
0.085 0.915 0.250
0.915 0.085 0.750
0.457 0.543 0.250
0.543 0.457 0.750
0.283 0.342 0.515
0.313 0.687 0.250
0.342 0.283 0.015
0.658 0.717 0.985
0.687 0.313 0.750
0.717 0.658 0.485
```